Record 1
For La3Ge5, the PBE geometry in the Materials Project gives the calculated X-ray powder pattern in this record (Cu Kα X-rays).
Intensities are scaled so that the largest is 100.

Crystal structure
```
16
Lattice="0.0000 9.1528 7.2039 3.0531 0.0000 7.2039 3.0531 9.1528 0.0000" Properties=species:S:1:pos:R:3 pbc="T T T"
La 0.0000 0.0000 0.0000
La 1.5266 4.5764 3.6019
La 2.9928 6.0827 7.2899
La 4.6399 10.6591 10.8918
La 3.1134 12.2229 7.2899
La 4.5194 16.7993 10.8918
Ge 3.3160 3.2816 5.9066
Ge 4.5564 10.7549 4.8356
Ge 3.0299 2.9743 8.4376
Ge 4.3168 7.8580 9.5085
Ge 3.0531 9.1528 6.2769
Ge 1.5498 7.5507 4.8356
Ge 4.5797 13.7292 9.8788
Ge 2.7902 15.0239 5.9066
Ge 3.0763 15.3313 8.4376
Ge 1.7894 10.4476 9.5085
```

The 8 most intense peaks (2θ from 15° to 90°), sorted by position:
2θ 27.79, intensity 37.1
2θ 31.84, intensity 100.0
2θ 37.53, intensity 49.6
2θ 41.86, intensity 38.0
2θ 49.03, intensity 20.3
2θ 57.46, intensity 24.6
2θ 66.40, intensity 16.3
2θ 70.18, intensity 17.9

Record 2
For LaGe2, the PBE geometry in the Materials Project gives the calculated X-ray powder pattern in this record (Cu Kα X-rays).
Intensities are scaled so that the largest is 100.

Crystal structure
```
12
Lattice="4.3210 0.0000 0.0000 0.0000 4.3210 0.0000 0.0000 0.0000 15.6811" Properties=species:S:1:pos:R:3 pbc="T T T"
La 0.0000 1.0802 5.8804
La 0.0000 3.2407 9.8007
La 2.1605 1.0802 1.9601
La 2.1605 3.2407 13.7210
Ge 0.0000 1.0802 12.4332
Ge 0.0000 1.0802 15.0088
Ge 0.0000 3.2407 0.6723
Ge 0.0000 3.2407 3.2479
Ge 2.1605 1.0802 8.5129
Ge 2.1605 1.0802 11.0885
Ge 2.1605 3.2407 4.5926
Ge 2.1605 3.2407 7.1682
```

The 8 most intense peaks (2θ from 15° to 90°), sorted by position:
2θ 26.77, intensity 29.3
2θ 31.42, intensity 100.0
2θ 35.36, intensity 55.5
2θ 41.81, intensity 41.1
2θ 45.62, intensity 28.5
2θ 55.89, intensity 29.3
2θ 63.59, intensity 20.8
2θ 69.88, intensity 19.5

Record 3
For LaGe, the PBE geometry in the Materials Project gives the calculated X-ray powder pattern in this record (Cu Kα X-rays).
Intensities are scaled so that the largest is 100.

Crystal structure
```
16
Lattice="4.5886 0.0000 0.0000 0.0000 13.8709 0.0000 0.0000 0.0000 6.7846" Properties=species:S:1:pos:R:3 pbc="T T T"
La 0.0000 0.6660 1.6961
La 0.0000 3.1285 5.0884
La 0.0000 10.7424 1.6961
La 0.0000 13.2049 5.0884
La 2.2943 3.8070 1.6961
La 2.2943 6.2694 5.0884
La 2.2943 7.6015 1.6961
La 2.2943 10.0639 5.0884
Ge 0.0000 5.5743 0.3765
Ge 0.0000 5.5743 3.0158
Ge 0.0000 8.2966 3.7688
Ge 0.0000 8.2966 6.4080
Ge 2.2943 1.3611 3.7688
Ge 2.2943 1.3611 6.4080
Ge 2.2943 12.5098 0.3765
Ge 2.2943 12.5098 3.0158
```

The 8 most intense peaks (2θ from 15° to 90°), sorted by position:
2θ 28.92, intensity 22.2
2θ 30.44, intensity 100.0
2θ 33.48, intensity 60.1
2θ 37.07, intensity 23.7
2θ 37.90, intensity 22.9
2θ 39.27, intensity 28.9
2θ 48.03, intensity 14.9
2θ 55.11, intensity 14.9

Record 4
For LaGe, the PBE geometry in the Materials Project gives the calculated X-ray powder pattern in this record (Cu Kα X-rays).
Intensities are scaled so that the largest is 100.

Crystal structure
```
8
Lattice="8.5330 0.0000 0.0000 0.0000 4.1411 0.0000 0.0000 0.0000 6.1208" Properties=species:S:1:pos:R:3 pbc="T T T"
La 1.5483 1.0353 0.7195
La 2.7182 3.1059 3.7799
La 5.8148 1.0353 2.3409
La 6.9847 3.1059 5.4013
Ge 0.3173 1.0353 3.8764
Ge 3.9492 3.1059 0.8160
Ge 4.5838 1.0353 5.3048
Ge 8.2157 3.1059 2.2444
```

The 8 most intense peaks (2θ from 15° to 90°), sorted by position:
2θ 28.04, intensity 81.1
2θ 30.07, intensity 100.0
2θ 31.04, intensity 96.4
2θ 33.52, intensity 95.7
2θ 34.78, intensity 66.0
2θ 38.05, intensity 94.2
2θ 43.72, intensity 42.4
2θ 54.57, intensity 62.8

Record 5
For LiLaGe2, the PBE geometry in the Materials Project gives the calculated X-ray powder pattern in this record (Cu Kα X-rays).
Intensities are scaled so that the largest is 100.

Crystal structure
```
16
Lattice="7.9594 0.0000 0.0000 0.0000 4.0645 0.0000 0.0000 0.0000 10.9087" Properties=species:S:1:pos:R:3 pbc="T T T"
Li 0.0417 1.0161 1.2194
Li 3.9380 3.0484 6.6738
Li 4.0215 1.0161 4.2349
Li 7.9177 3.0484 9.6893
La 1.0897 3.0484 3.9701
La 2.8900 1.0161 9.4245
La 5.0694 3.0484 1.4842
La 6.8697 1.0161 6.9386
Ge 1.2789 3.0484 7.4233
Ge 1.7529 3.0484 0.7218
Ge 2.2269 1.0161 6.1762
Ge 2.7008 1.0161 1.9689
Ge 5.2587 3.0484 8.9398
Ge 5.7326 3.0484 4.7325
Ge 6.2066 1.0161 10.1869
Ge 6.6805 1.0161 3.4854
```

The 8 most intense peaks (2θ from 15° to 90°), sorted by position:
2θ 22.34, intensity 31.3
2θ 26.96, intensity 37.4
2θ 31.46, intensity 100.0
2θ 33.05, intensity 42.9
2θ 34.98, intensity 84.1
2θ 42.16, intensity 28.7
2θ 44.59, intensity 30.6
2θ 46.12, intensity 27.0

Record 6
For La2MgGeO6, the PBE geometry in the Materials Project gives the calculated X-ray powder pattern in this record (Cu Kα X-rays).
Intensities are scaled so that the largest is 100.

Crystal structure
```
10
Lattice="2.7903 1.6110 4.4796 -2.7903 1.6110 4.4796 0.0000 -3.2220 4.4796" Properties=species:S:1:pos:R:3 pbc="T T T"
La 0.0000 0.0000 3.3518
La 0.0000 0.0000 10.0869
Mg 0.0000 0.0000 6.7193
Ge 0.0000 0.0000 0.0000
O -0.3670 -1.6840 5.5781
O -1.6419 -0.5242 7.8606
O -1.2749 1.1598 5.5781
O 1.2749 -1.1598 7.8606
O 1.6419 0.5242 5.5781
O 0.3670 1.6840 7.8606
```

The 8 most intense peaks (2θ from 15° to 90°), sorted by position:
2θ 22.66, intensity 41.1
2θ 32.08, intensity 96.9
2θ 32.46, intensity 100.0
2θ 39.64, intensity 29.4
2θ 46.28, intensity 61.0
2θ 57.18, intensity 24.0
2θ 57.42, intensity 41.6
2θ 58.14, intensity 19.2

Record 7
For LaMnGe, the PBE geometry in the Materials Project gives the calculated X-ray powder pattern in this record (Cu Kα X-rays).
Intensities are scaled so that the largest is 100.

Crystal structure
```
6
Lattice="4.3758 0.0000 0.0000 0.0000 4.3758 0.0000 0.0000 0.0000 7.1004" Properties=species:S:1:pos:R:3 pbc="T T T"
La 1.0939 1.0939 1.2518
La 3.2818 3.2818 5.8486
Mn 1.0939 3.2818 3.5502
Mn 3.2818 1.0939 3.5502
Ge 1.0939 1.0939 4.9728
Ge 3.2818 3.2818 2.1275
```

The 8 most intense peaks (2θ from 15° to 90°), sorted by position:
2θ 28.85, intensity 66.4
2θ 31.54, intensity 39.0
2θ 32.48, intensity 95.0
2θ 38.60, intensity 100.0
2θ 41.26, intensity 74.7
2θ 53.47, intensity 45.8
2θ 55.90, intensity 35.0
2θ 71.80, intensity 32.8